This entry pairs a crystal structure of BaVN2F with its computed X-ray diffraction stick pattern. Radiation: Cu Kα (λ = 1.5418 Å). Structure: the GGA+U geometry in Alexandria.
Intensities are scaled so that the largest is 100.

Structure:
a = 3.933 Å, b = 3.933 Å, c = 4.396 Å
α = 90.00°, β = 90.00°, γ = 90.00°
Positions (direct):
Ba 0.000 0.000 0.000
V 0.500 0.500 0.500
N 0.000 0.500 0.500
N 0.500 0.000 0.500
F 0.500 0.500 0.000

Principal peaks in the range 2θ from 5° to 70°, most intense first:
two_theta  Rel. int.  (hkl)
30.5  100  1 0 1
32.2  50  1 1 0
56.3  35  2 1 1
38.3  33  1 1 1
46.2  30  2 0 0
53.1  24  1 1 2
63.5  22  2 0 2
41.1  21  0 0 2
22.6  14  1 0 0
68.3  13  1 0 3